Zn2O5: theoretical powder XRD pattern (Cu Kα), based on the GGA-PBE geometry in OQMD.
No peak broadening, texture or thermal motion is included.

Crystal structure
```
data_Zn2O5
_chemical_formula_sum 'Zn2 O5'
_cell_length_a 3.6796
_cell_length_b 3.6796
_cell_length_c 6.8586
_cell_angle_alpha 90.00
_cell_angle_beta 90.00
_cell_angle_gamma 90.00
_symmetry_space_group_name_H-M 'P 4/m m m'
_symmetry_Int_Tables_number 123
_symmetry_space_group_name_Hall '-P 4 2'
loop_
_atom_site_label
_atom_site_type_symbol
_atom_site_fract_x
_atom_site_fract_y
_atom_site_fract_z
Zn1 Zn 0.0000 0.0000 0.2408
O1 O 0.0000 0.0000 0.5000
O2 O 0.0000 0.5000 0.0990
```

Principal peaks in the range 5° ≤ 2θ ≤ 70°, sorted by position:
hkl 0 0 1, 12.91°, rel. 21
hkl 1 0 0, 24.19°, rel. 100
hkl 0 0 2, 25.98°, rel. 17
hkl 1 0 2, 35.79°, rel. 44
hkl 1 1 2, 43.67°, rel. 34
hkl 2 0 0, 49.55°, rel. 25
hkl 2 1 0, 55.87°, rel. 18
hkl 1 0 4, 59.47°, rel. 14
hkl 2 1 2, 62.61°, rel. 17
hkl 1 1 4, 65.15°, rel. 18

---

Zr2Zn2O5: theoretical powder XRD pattern (Cu Kα), based on the GGA-PBE geometry in OQMD.
No peak broadening, texture or thermal motion is included.

Crystal structure
```
data_Zr2Zn2O5
_chemical_formula_sum 'Zr2 Zn2 O5'
_cell_length_a 3.8715
_cell_length_b 3.8715
_cell_length_c 8.1420
_cell_angle_alpha 90.00
_cell_angle_beta 90.00
_cell_angle_gamma 90.00
_symmetry_space_group_name_H-M 'P 4/m m m'
_symmetry_Int_Tables_number 123
_symmetry_space_group_name_Hall '-P 4 2'
loop_
_atom_site_label
_atom_site_type_symbol
_atom_site_fract_x
_atom_site_fract_y
_atom_site_fract_z
Zr1 Zr 0.0000 0.0000 0.2461
Zn1 Zn 0.5000 0.5000 0.0000
Zn2 Zn 0.5000 0.5000 0.5000
O1 O 0.0000 0.0000 0.0000
O2 O 0.0000 0.5000 0.3369
```

Principal peaks in the range 5° ≤ 2θ ≤ 70°, sorted by position:
hkl 1 0 0, 22.97°, rel. 5
hkl 1 0 2, 31.90°, rel. 100
hkl 1 1 0, 32.71°, rel. 37
hkl 1 1 1, 34.57°, rel. 3
hkl 0 0 4, 44.51°, rel. 9
hkl 2 0 0, 46.94°, rel. 28
hkl 1 1 4, 56.32°, rel. 27
hkl 2 1 2, 57.88°, rel. 35
hkl 2 0 4, 66.68°, rel. 11
hkl 2 2 0, 68.56°, rel. 8

---

Zr2ZnO4: theoretical powder XRD pattern (Cu Kα), based on the GGA-PBE geometry in OQMD.
No peak broadening, texture or thermal motion is included.

Crystal structure
a b c (Å): 8.9307 8.9307 8.9307
angles (deg): 90.00 90.00 90.00
Space group Fd-3m (No. 227, origin choice 2)
One atom of each set of equivalent atoms:
Zr  0.0000  0.0000  0.0000
Zn  0.1250  0.1250  0.6250
O  0.0027  0.0027  0.2473

Principal peaks in the range 5° ≤ 2θ ≤ 70°, sorted by position:
hkl 1 1 1, 17.20°, rel. 18
hkl 2 2 0, 28.26°, rel. 19
hkl 3 1 1, 33.27°, rel. 100
hkl 2 2 2, 34.80°, rel. 20
hkl 4 0 0, 40.40°, rel. 22
hkl 4 2 2, 50.03°, rel. 8
hkl 5 1 1, 53.30°, rel. 35
hkl 4 4 0, 58.46°, rel. 45
hkl 5 3 3, 68.95°, rel. 11
hkl 6 2 2, 69.86°, rel. 10

---

ZrO3: theoretical powder XRD pattern (Cu Kα), based on the GGA-PBE geometry in OQMD.
No peak broadening, texture or thermal motion is included.

Crystal structure
```
data_ZrO3
_chemical_formula_sum 'Zr8 O24'
_cell_length_a 5.4357
_cell_length_b 11.8162
_cell_length_c 6.0266
_cell_angle_alpha 90.00
_cell_angle_beta 103.18
_cell_angle_gamma 90.00
_symmetry_space_group_name_H-M 'C 1 2 1'
_symmetry_Int_Tables_number 5
loop_
_symmetry_equiv_pos_as_xyz
'x,y,z'
'-x,y,-z'
'x+1/2,y+1/2,z'
'-x+1/2,y+1/2,-z'
loop_
_atom_site_label
_atom_site_type_symbol
_atom_site_fract_x
_atom_site_fract_y
_atom_site_fract_z
Zr1 Zr 0.0000 0.0000 0.0000
Zr2 Zr 0.0000 0.1285 0.5000
Zr3 Zr 0.0000 0.2856 0.0000
Zr4 Zr 0.0000 0.8570 0.5000
O1 O 0.0506 0.5104 0.9104
O2 O 0.0624 0.6676 0.4098
O3 O 0.0766 0.3183 0.4138
O4 O 0.1258 0.1510 0.8507
O5 O 0.1555 0.9922 0.3634
O6 O 0.1588 0.8537 0.8610
```

Principal peaks in the range 5° ≤ 2θ ≤ 70°, sorted by position:
hkl 1 1 0, 18.37°, rel. 100
hkl 1 1 -1, 21.28°, rel. 33
hkl 1 3 -1, 30.25°, rel. 64
hkl 0 0 2, 30.47°, rel. 56
hkl 2 0 0, 33.87°, rel. 47
hkl 0 4 1, 33.98°, rel. 66
hkl 2 4 -1, 46.03°, rel. 53
hkl 2 4 1, 51.34°, rel. 20
hkl 2 0 2, 51.50°, rel. 52
hkl 3 3 -1, 55.99°, rel. 20

---

ZrO4: theoretical powder XRD pattern (Cu Kα), based on the GGA-PBE geometry in OQMD.
No peak broadening, texture or thermal motion is included.

Crystal structure
```
data_ZrO4
_chemical_formula_sum 'Zr2 O8'
_cell_length_a 3.3764
_cell_length_b 6.8808
_cell_length_c 6.1774
_cell_angle_alpha 90.00
_cell_angle_beta 121.06
_cell_angle_gamma 90.00
_symmetry_space_group_name_H-M 'P 1 2/c 1'
_symmetry_Int_Tables_number 13
loop_
_symmetry_equiv_pos_as_xyz
'x,y,z'
'-x,-y,-z'
'-x,y,-z+1/2'
'x,-y,z+1/2'
loop_
_atom_site_label
_atom_site_type_symbol
_atom_site_fract_x
_atom_site_fract_y
_atom_site_fract_z
Zr1 Zr 0.0000 0.0785 0.2500
O1 O 0.2610 0.1422 0.0101
O2 O 0.3597 0.4455 0.5052
```

Principal peaks in the range 5° ≤ 2θ ≤ 70°, sorted by position:
hkl 0 1 0, 12.87°, rel. 100
hkl 0 1 1, 21.18°, rel. 26
hkl 0 2 0, 25.90°, rel. 20
hkl 0 2 1, 30.98°, rel. 43
hkl 1 0 -2, 31.96°, rel. 27
hkl 1 1 0, 33.61°, rel. 39
hkl 0 1 2, 36.38°, rel. 27
hkl 0 3 1, 42.98°, rel. 16
hkl 1 2 1, 50.59°, rel. 17
hkl 1 2 -3, 51.98°, rel. 16

---

ZrO3: theoretical powder XRD pattern (Cu Kα), based on the GGA-PBE geometry in OQMD.
No peak broadening, texture or thermal motion is included.

Crystal structure
```
data_ZrO3
_chemical_formula_sum 'Zr4 O12'
_cell_length_a 5.8507
_cell_length_b 6.7466
_cell_length_c 5.2078
_cell_angle_alpha 90.00
_cell_angle_beta 90.00
_cell_angle_gamma 90.00
_symmetry_space_group_name_H-M 'P n m a'
_symmetry_Int_Tables_number 62
loop_
_symmetry_equiv_pos_as_xyz
'x,y,z'
'-x,-y,-z'
'-x+1/2,-y,z+1/2'
'x+1/2,y,-z+1/2'
'x+1/2,-y+1/2,-z+1/2'
'-x+1/2,y+1/2,z+1/2'
'-x,y+1/2,-z'
'x,-y+1/2,z'
loop_
_atom_site_label
_atom_site_type_symbol
_atom_site_fract_x
_atom_site_fract_y
_atom_site_fract_z
Zr1 Zr 0.0000 0.0000 0.0000
O1 O 0.0352 0.2500 0.2031
O2 O 0.2296 0.1419 0.7210
```

Principal peaks in the range 5° ≤ 2θ ≤ 70°, sorted by position:
hkl 1 0 1, 22.86°, rel. 100
hkl 0 2 0, 26.42°, rel. 17
hkl 2 0 0, 30.56°, rel. 14
hkl 1 2 1, 35.22°, rel. 53
hkl 2 2 0, 40.83°, rel. 16
hkl 0 2 2, 43.92°, rel. 24
hkl 2 0 2, 46.70°, rel. 18
hkl 2 2 2, 54.45°, rel. 21
hkl 1 4 1, 59.76°, rel. 13
hkl 2 4 0, 63.66°, rel. 14

---

ZrO2: theoretical powder XRD pattern (Cu Kα), based on the GGA-PBE geometry in OQMD.
No peak broadening, texture or thermal motion is included.

Crystal structure
```
data_ZrO2
_chemical_formula_sum 'Zr2 O4'
_cell_length_a 4.8969
_cell_length_b 4.8969
_cell_length_c 3.2671
_cell_angle_alpha 90.00
_cell_angle_beta 90.00
_cell_angle_gamma 90.00
_symmetry_space_group_name_H-M 'P 42/m n m'
_symmetry_Int_Tables_number 136
_symmetry_space_group_name_Hall '-P 4n 2n'
loop_
_atom_site_label
_atom_site_type_symbol
_atom_site_fract_x
_atom_site_fract_y
_atom_site_fract_z
Zr1 Zr 0.0000 0.0000 0.0000
O1 O 0.1943 0.1943 0.5000
```

Principal peaks in the range 5° ≤ 2θ ≤ 70°, sorted by position:
hkl 1 1 0, 25.73°, rel. 100
hkl 1 0 1, 32.96°, rel. 73
hkl 2 0 0, 36.70°, rel. 19
hkl 2 1 1, 50.15°, rel. 66
hkl 2 2 0, 52.88°, rel. 17
hkl 0 0 2, 56.32°, rel. 8
hkl 3 1 0, 59.71°, rel. 14
hkl 1 1 2, 62.91°, rel. 15
hkl 3 0 1, 63.74°, rel. 21
hkl 2 0 2, 69.13°, rel. 7

---

Zr4O11: theoretical powder XRD pattern (Cu Kα), based on the GGA-PBE geometry in OQMD.
No peak broadening, texture or thermal motion is included.

Crystal structure
```
data_Zr4O11
_chemical_formula_sum 'Zr4 O11'
_cell_length_a 3.8083
_cell_length_b 6.0465
_cell_length_c 8.7772
_cell_angle_alpha 70.56
_cell_angle_beta 85.96
_cell_angle_gamma 72.15
_symmetry_space_group_name_H-M 'P 1'
_symmetry_Int_Tables_number 1
loop_
_symmetry_equiv_pos_as_xyz
'x,y,z'
loop_
_atom_site_label
_atom_site_type_symbol
_atom_site_fract_x
_atom_site_fract_y
_atom_site_fract_z
Zr1 Zr 0.0000 0.0000 0.0000
Zr2 Zr 0.1398 0.8038 0.5260
Zr3 Zr 0.4100 0.2909 0.2760
Zr4 Zr 0.6792 0.6348 0.8645
O1 O 0.1412 0.7378 0.7972
O2 O 0.1690 0.6375 0.1390
O3 O 0.2000 0.4653 0.4885
O4 O 0.2801 0.3539 0.6637
O5 O 0.4525 0.0016 0.1756
O6 O 0.5382 0.9600 0.9136
O7 O 0.5656 0.8582 0.3438
O8 O 0.6195 0.8174 0.6105
O9 O 0.7756 0.3171 0.0592
O10 O 0.9345 0.1756 0.3820
O11 O 0.9490 0.3238 0.7562
```

Principal peaks in the range 5° ≤ 2θ ≤ 70°, sorted by position:
hkl 0 1 1, 16.31°, rel. 77
hkl 0 1 -1, 22.33°, rel. 100
hkl 1 1 1, 25.48°, rel. 37
hkl 1 0 1, 27.22°, rel. 51
hkl 1 1 2, 30.10°, rel. 72
hkl 0 2 1, 31.12°, rel. 89
hkl 0 1 3, 31.19°, rel. 33
hkl 1 0 -2, 32.27°, rel. 66
hkl 0 2 2, 32.96°, rel. 40
hkl 2 1 0, 47.92°, rel. 51

---

Zr4O11: theoretical powder XRD pattern (Cu Kα), based on the GGA-PBE geometry in OQMD.
No peak broadening, texture or thermal motion is included.

Crystal structure
```
data_Zr4O11
_chemical_formula_sum 'Zr4 O11'
_cell_length_a 3.5568
_cell_length_b 6.2767
_cell_length_c 8.7467
_cell_angle_alpha 76.33
_cell_angle_beta 89.88
_cell_angle_gamma 73.54
_symmetry_space_group_name_H-M 'P 1'
_symmetry_Int_Tables_number 1
loop_
_symmetry_equiv_pos_as_xyz
'x,y,z'
loop_
_atom_site_label
_atom_site_type_symbol
_atom_site_fract_x
_atom_site_fract_y
_atom_site_fract_z
Zr1 Zr 0.0000 0.0000 0.0000
Zr2 Zr 0.0106 0.9764 0.5231
Zr3 Zr 0.2588 0.4828 0.9590
Zr4 Zr 0.6950 0.6111 0.3257
O1 O 0.0944 0.8080 0.8361
O2 O 0.1722 0.6535 0.4544
O3 O 0.1724 0.6557 0.1443
O4 O 0.4246 0.1512 0.8998
O5 O 0.4844 0.0274 0.6128
O6 O 0.5046 0.9903 0.1782
O7 O 0.5141 0.9714 0.3477
O8 O 0.7434 0.5092 0.7331
O9 O 0.7965 0.3887 0.6344
O10 O 0.8232 0.3532 0.0450
O11 O 0.8568 0.2861 0.3693
```

Principal peaks in the range 5° ≤ 2θ ≤ 70°, sorted by position:
hkl 0 0 2, 20.96°, rel. 100
hkl 0 1 2, 22.70°, rel. 55
hkl 1 1 1, 27.54°, rel. 82
hkl 0 1 -2, 28.95°, rel. 65
hkl 0 2 0, 30.64°, rel. 77
hkl 1 0 -2, 32.54°, rel. 78
hkl 0 2 2, 32.71°, rel. 62
hkl 1 0 2, 34.93°, rel. 59
hkl -1 1 4, 50.67°, rel. 66
hkl 1 -2 2, 55.76°, rel. 52

---

Zr4O11: theoretical powder XRD pattern (Cu Kα), based on the GGA-PBE geometry in OQMD.
No peak broadening, texture or thermal motion is included.

Crystal structure
```
data_Zr4O11
_chemical_formula_sum 'Zr4 O11'
_cell_length_a 3.5938
_cell_length_b 6.6937
_cell_length_c 9.1855
_cell_angle_alpha 105.33
_cell_angle_beta 100.26
_cell_angle_gamma 105.25
_symmetry_space_group_name_H-M 'P 1'
_symmetry_Int_Tables_number 1
loop_
_symmetry_equiv_pos_as_xyz
'x,y,z'
loop_
_atom_site_label
_atom_site_type_symbol
_atom_site_fract_x
_atom_site_fract_y
_atom_site_fract_z
Zr1 Zr 0.0000 0.0000 0.0000
Zr2 Zr 0.1534 0.4962 0.8373
Zr3 Zr 0.4898 0.5017 0.4993
Zr4 Zr 0.6689 0.9983 0.3385
O1 O 0.1688 0.6954 0.6661
O2 O 0.2549 0.3187 0.9890
O3 O 0.2715 0.1209 0.4326
O4 O 0.3212 0.8304 0.8328
O5 O 0.5656 0.4331 0.7226
O6 O 0.5814 0.7523 0.4211
O7 O 0.5891 0.0633 0.1146
O8 O 0.8357 0.6663 0.0052
O9 O 0.8873 0.3809 0.4033
O10 O 0.9072 0.1752 0.8459
O11 O 0.9877 0.8007 0.1722
```

Principal peaks in the range 5° ≤ 2θ ≤ 70°, sorted by position:
hkl 0 1 -1, 14.82°, rel. 100
hkl 0 1 1, 20.48°, rel. 52
hkl 0 0 2, 20.80°, rel. 57
hkl 1 0 -1, 25.89°, rel. 37
hkl 0 2 0, 29.27°, rel. 47
hkl 0 1 -3, 29.95°, rel. 62
hkl 1 0 1, 31.23°, rel. 66
hkl -1 1 2, 31.90°, rel. 72
hkl 0 3 -3, 45.53°, rel. 39
hkl 1 -1 4, 52.41°, rel. 33

---

ZrO2: theoretical powder XRD pattern (Cu Kα), based on the GGA-PBE geometry in OQMD.
No peak broadening, texture or thermal motion is included.

Crystal structure
```
data_ZrO2
_chemical_formula_sum 'Zr4 O8'
_cell_length_a 5.2825
_cell_length_b 5.0658
_cell_length_c 5.0785
_cell_angle_alpha 90.00
_cell_angle_beta 90.00
_cell_angle_gamma 90.00
_symmetry_space_group_name_H-M 'P c a 21'
_symmetry_Int_Tables_number 29
loop_
_symmetry_equiv_pos_as_xyz
'x,y,z'
'-x,-y,z+1/2'
'-x+1/2,y,z+1/2'
'x+1/2,-y,z'
loop_
_atom_site_label
_atom_site_type_symbol
_atom_site_fract_x
_atom_site_fract_y
_atom_site_fract_z
Zr1 Zr 0.0323 0.2312 0.0000
O1 O 0.1246 0.4208 0.6238
O2 O 0.2389 0.9563 0.2481
```

Principal peaks in the range 5° ≤ 2θ ≤ 70°, sorted by position:
hkl 1 1 1, 30.12°, rel. 100
hkl 2 0 0, 33.94°, rel. 11
hkl 0 0 2, 35.39°, rel. 23
hkl 1 2 1, 43.42°, rel. 7
hkl 2 0 2, 49.85°, rel. 30
hkl 0 2 2, 50.92°, rel. 16
hkl 3 1 1, 58.38°, rel. 12
hkl 1 1 3, 60.24°, rel. 15
hkl 1 3 1, 60.37°, rel. 15
hkl 2 2 2, 62.61°, rel. 8

---

Zr4O5: theoretical powder XRD pattern (Cu Kα), based on the GGA-PBE geometry in OQMD.
No peak broadening, texture or thermal motion is included.

Crystal structure
```
data_Zr4O5
_chemical_formula_sum 'Zr4 O5'
_cell_length_a 4.0802
_cell_length_b 4.0802
_cell_length_c 7.1180
_cell_angle_alpha 90.00
_cell_angle_beta 90.00
_cell_angle_gamma 90.00
_symmetry_space_group_name_H-M 'P 4/m m m'
_symmetry_Int_Tables_number 123
_symmetry_space_group_name_Hall '-P 4 2'
loop_
_atom_site_label
_atom_site_type_symbol
_atom_site_fract_x
_atom_site_fract_y
_atom_site_fract_z
Zr1 Zr 0.0000 0.0000 0.0000
Zr2 Zr 0.0000 0.0000 0.5000
Zr3 Zr 0.5000 0.5000 0.2131
O1 O 0.0000 0.5000 0.2777
O2 O 0.5000 0.5000 0.5000
```

Principal peaks in the range 5° ≤ 2θ ≤ 70°, sorted by position:
hkl 1 1 0, 31.00°, rel. 56
hkl 1 0 2, 33.41°, rel. 100
hkl 1 1 2, 40.24°, rel. 5
hkl 1 0 3, 44.15°, rel. 7
hkl 2 0 0, 44.41°, rel. 40
hkl 1 1 3, 49.75°, rel. 7
hkl 0 0 4, 51.34°, rel. 8
hkl 2 1 2, 56.69°, rel. 43
hkl 1 1 4, 61.19°, rel. 11
hkl 2 2 0, 64.61°, rel. 12

---

ZrO2: theoretical powder XRD pattern (Cu Kα), based on the GGA-PBE geometry in OQMD.
No peak broadening, texture or thermal motion is included.

Crystal structure
```
data_ZrO2
_chemical_formula_sum 'Zr2 O4'
_cell_length_a 4.5599
_cell_length_b 4.5599
_cell_length_c 4.5599
_cell_angle_alpha 90.00
_cell_angle_beta 90.00
_cell_angle_gamma 90.00
_symmetry_space_group_name_H-M 'P n -3 m'
_symmetry_Int_Tables_number 224
loop_
_symmetry_equiv_pos_as_xyz
'x,y,z'
'-x,-y,-z'
'-y,x+1/2,z+1/2'
'y,-x+1/2,-z+1/2'
'-x+1/2,-y+1/2,z'
'x+1/2,y+1/2,-z'
'y+1/2,-x,z+1/2'
'-y+1/2,x,-z+1/2'
'x,-y+1/2,-z+1/2'
'-x,y+1/2,z+1/2'
'-y,-x,-z'
'y,x,z'
'-x+1/2,y,-z+1/2'
'x+1/2,-y,z+1/2'
'y+1/2,x+1/2,-z'
'-y+1/2,-x+1/2,z'
'z,x,y'
'-z,-x,-y'
'z+1/2,-y,x+1/2'
'-z+1/2,y,-x+1/2'
'z,-x+1/2,-y+1/2'
'-z,x+1/2,y+1/2'
'z+1/2,y+1/2,-x'
'-z+1/2,-y+1/2,x'
'-z+1/2,x,-y+1/2'
'z+1/2,-x,y+1/2'
'-z,-y,-x'
'z,y,x'
'-z+1/2,-x+1/2,y'
'z+1/2,x+1/2,-y'
'-z,y+1/2,x+1/2'
'z,-y+1/2,-x+1/2'
'y,z,x'
'-y,-z,-x'
'x+1/2,z+1/2,-y'
'-x+1/2,-z+1/2,y'
'-y+1/2,z,-x+1/2'
'y+1/2,-z,x+1/2'
'-x,z+1/2,y+1/2'
'x,-z+1/2,-y+1/2'
'-y+1/2,-z+1/2,x'
'y+1/2,z+1/2,-x'
'-x,-z,-y'
'x,z,y'
'y,-z+1/2,-x+1/2'
'-y,z+1/2,x+1/2'
'x+1/2,-z,y+1/2'
'-x+1/2,z,-y+1/2'
loop_
_atom_site_label
_atom_site_type_symbol
_atom_site_fract_x
_atom_site_fract_y
_atom_site_fract_z
Zr1 Zr 0.2500 0.2500 0.2500
O1 O 0.0000 0.0000 0.0000
```

Principal peaks in the range 5° ≤ 2θ ≤ 70°, sorted by position:
hkl 1 1 0, 27.67°, rel. 100
hkl 1 1 1, 34.06°, rel. 5
hkl 2 0 0, 39.53°, rel. 8
hkl 2 1 1, 48.93°, rel. 40
hkl 2 2 0, 57.13°, rel. 21
hkl 3 1 0, 64.64°, rel. 17
hkl 3 1 1, 68.21°, rel. 1